Computed PXRD pattern of GdErTmHg for copper Kα, from a crystal structure in Alexandria, relaxed with PBE.

Atomic structure:
abc: 7.6124 7.6124 7.6124
angles: 90.00 90.00 90.00
Space group F-43m (No. 216)
One atom of each set of equivalent atoms:
Gd 0.0000 0.0000 0.0000 [4 per cell]
Er 0.0000 0.0000 0.5000 [4 per cell]
Tm 0.2500 0.2500 0.7500 [4 per cell]
Hg 0.2500 0.2500 0.2500 [4 per cell]

Main lines, sorted by position (10 to 80 degrees two-theta):
d_spacing  2theta  I (rel.)
3.806  23.4  1
2.691  33.3  100
1.903  47.8  18
1.554  59.5  38
1.346  69.9  12
1.204  79.7  17

***

Computed PXRD pattern of GdErIn2 for copper Kα, from a crystal structure in Alexandria, relaxed with PBE.

Atomic structure:
abc: 3.5340 3.5340 8.5177
angles: 90.00 90.00 90.00
Space group P4/mmm (No. 123)
One atom of each set of equivalent atoms:
Gd 0.0000 0.0000 0.0000 [1 per cell]
Er 0.0000 0.0000 0.5000 [1 per cell]
In 0.5000 0.5000 0.2548 [2 per cell]

Main lines, sorted by position (10 to 80 degrees two-theta):
d_spacing  2theta  I (rel.)
3.534  25.2  2
2.720  32.9  100
2.499  35.9  40
2.129  42.4  12
1.767  51.7  14
1.621  56.8  21
1.482  62.7  31
1.360  69.1  11
1.317  71.6  10
1.249  76.2  4

***

Computed PXRD pattern of GdErMg4 for copper Kα, from a crystal structure in Alexandria, relaxed with PBE.

Atomic structure:
abc: 8.5357 8.5357 8.5357
angles: 90.00 90.00 90.00
Space group F-43m (No. 216)
One atom of each set of equivalent atoms:
Gd 0.0000 0.0000 0.0000 [4 per cell]
Er 0.2500 0.2500 0.7500 [4 per cell]
Mg 0.1248 0.1248 0.3752 [16 per cell]

Main lines, sorted by position (10 to 80 degrees two-theta):
d_spacing  2theta  I (rel.)
4.928  18.0  65
3.018  29.6  100
2.574  34.9  98
1.958  46.4  18
1.742  52.5  41
1.643  56.0  33
1.509  61.4  22
1.443  64.6  13
1.350  69.7  17
1.302  72.6  11

***

Computed PXRD pattern of Gd2ErN for copper Kα, from a crystal structure in Alexandria, relaxed with PBE.

Atomic structure:
abc: 3.4920 3.4920 28.4103
angles: 90.00 90.00 120.00
Space group R-3m (No. 166, hexagonal axes)
One atom of each set of equivalent atoms:
Gd 0.0000 0.0000 0.1190 [6 per cell]
Er 0.0000 0.0000 0.0000 [3 per cell]
N 0.0000 0.0000 0.5000 [3 per cell]

Main lines, sorted by position (10 to 80 degrees two-theta):
d_spacing  2theta  I (rel.)
3.157  28.3  49
3.007  29.7  100
2.958  30.2  28
2.425  37.1  37
2.302  39.1  75
2.071  43.7  21
1.746  52.4  34
1.531  60.5  18
1.528  60.6  35
1.463  63.6  18

***

Computed PXRD pattern of GdErZnPd for copper Kα, from a crystal structure in Alexandria, relaxed with PBE.

Atomic structure:
abc: 7.0829 7.0829 7.0829
angles: 90.00 90.00 90.00
Space group F-43m (No. 216)
One atom of each set of equivalent atoms:
Gd 0.0000 0.0000 0.0000 [4 per cell]
Er 0.0000 0.0000 0.5000 [4 per cell]
Zn 0.2500 0.2500 0.7500 [4 per cell]
Pd 0.2500 0.2500 0.2500 [4 per cell]

Main lines, sorted by position (10 to 80 degrees two-theta):
d_spacing  2theta  I (rel.)
4.089  21.7  1
3.541  25.1  10
2.504  35.9  100
2.136  42.3  1
2.045  44.3  3
1.771  51.6  18
1.584  58.3  4
1.446  64.4  36
1.252  76.0  11

***

Computed PXRD pattern of PrGdEr for copper Kα, from a crystal structure in Alexandria, relaxed with PBE.

Atomic structure:
abc: 3.6112 3.6112 8.7881
angles: 90.00 90.00 120.00
Space group P3m1 (No. 156)
One atom of each set of equivalent atoms:
Pr 0.0000 0.0000 0.0000 [1 per cell]
Gd 0.3333 0.6667 0.6581 [1 per cell]
Er 0.6667 0.3333 0.3321 [1 per cell]

Main lines, sorted by position (10 to 80 degrees two-theta):
d_spacing  2theta  I (rel.)
2.946  30.3  100
2.929  30.5  33
2.548  35.2  68
1.806  50.6  24
1.798  50.8  24
1.539  60.1  14
1.537  60.2  29
1.532  60.4  14
1.473  63.1  12
1.274  74.5  8

***

Computed PXRD pattern of GdErZrSc for copper Kα, from a crystal structure in Alexandria, relaxed with PBE.

Atomic structure:
abc: 7.5672 7.5672 7.5672
angles: 90.00 90.00 90.00
Space group F-43m (No. 216)
One atom of each set of equivalent atoms:
Gd 0.0000 0.0000 0.0000 [4 per cell]
Er 0.2500 0.2500 0.7500 [4 per cell]
Zr 0.0000 0.0000 0.5000 [4 per cell]
Sc 0.2500 0.2500 0.2500 [4 per cell]

Main lines, sorted by position (10 to 80 degrees two-theta):
d_spacing  2theta  I (rel.)
4.369  20.3  19
3.784  23.5  1
2.675  33.5  100
2.282  39.5  11
1.892  48.1  18
1.736  52.7  5
1.545  59.9  37
1.456  63.9  4
1.338  70.4  11
1.279  74.1  4

***

Computed PXRD pattern of GdErSi for copper Kα, from a crystal structure in Alexandria, relaxed with PBE.

Atomic structure:
abc: 6.8366 6.8366 6.8366
angles: 90.00 90.00 90.00
Space group F-43m (No. 216)
One atom of each set of equivalent atoms:
Gd 0.0000 0.0000 0.0000 [4 per cell]
Er 0.0000 0.0000 0.5000 [4 per cell]
Si 0.2500 0.2500 0.7500 [4 per cell]

Main lines, sorted by position (10 to 80 degrees two-theta):
d_spacing  2theta  I (rel.)
3.947  22.5  2
3.418  26.1  88
2.417  37.2  100
2.061  43.9  1
1.974  46.0  26
1.709  53.6  17
1.529  60.6  34
1.396  67.1  36
1.209  79.3  11

***

Please write out number 4 again, unchanged.
Computed PXRD pattern of Gd2ErN for copper Kα, from a crystal structure in Alexandria, relaxed with PBE.

Atomic structure:
abc: 3.4920 3.4920 28.4103
angles: 90.00 90.00 120.00
Space group R-3m (No. 166, hexagonal axes)
One atom of each set of equivalent atoms:
Gd 0.0000 0.0000 0.1190 [6 per cell]
Er 0.0000 0.0000 0.0000 [3 per cell]
N 0.0000 0.0000 0.5000 [3 per cell]

Main lines, sorted by position (10 to 80 degrees two-theta):
d_spacing  2theta  I (rel.)
3.157  28.3  49
3.007  29.7  100
2.958  30.2  28
2.425  37.1  37
2.302  39.1  75
2.071  43.7  21
1.746  52.4  34
1.531  60.5  18
1.528  60.6  35
1.463  63.6  18